For KSrSn2, a DFT-relaxed cell (GGA-PBE, Alexandria) gives the computed powder diffraction line list in this record (Cu Kα X-rays).

```
8
Lattice="4.984 0.000 0.000 0.000 7.594 0.000 -2.483 0.000 8.116" Properties=species:S:1:pos:R:3 pbc="T T T"
K 0.000 1.899 3.707
K 2.500 5.696 4.409
Sr 0.000 5.696 0.700
Sr 2.501 1.899 7.416
Sn 0.010 4.223 6.699
Sn 0.010 7.169 6.699
Sn 2.491 0.426 1.417
Sn 2.491 3.372 1.417
```

Principal peaks in the range 2θ = 10–80°, low angle first:
- 8.116 Å, 2θ 10.9, I 89
- 4.765 Å, 2θ 18.6, I 34
- 3.301 Å, 2θ 27.0, I 74
- 2.970 Å, 2θ 30.1, I 100
- 2.720 Å, 2θ 32.9, I 46
- 2.705 Å, 2θ 33.1, I 23
- 2.492 Å, 2θ 36.0, I 35
- 2.148 Å, 2θ 42.1, I 24



For KSr4Sn4, a DFT-relaxed cell (GGA-PBE, Alexandria) gives the computed powder diffraction line list in this record (Cu Kα X-rays).

```
18
Lattice="10.773 0.000 0.000 0.000 10.773 0.000 0.000 0.000 6.696" Properties=species:S:1:pos:R:3 pbc="T T T"
K 2.693 2.693 1.674
K 8.080 8.080 5.022
Sr 0.972 6.952 0.832
Sr 1.566 9.802 4.180
Sr 3.821 6.358 4.180
Sr 4.415 9.208 0.832
Sr 6.358 1.566 5.864
Sr 6.952 4.415 2.516
Sr 9.208 0.972 2.516
Sr 9.802 3.821 5.864
Sn 0.383 6.471 4.189
Sn 1.084 10.390 0.841
Sn 4.302 5.770 0.841
Sn 5.003 9.689 4.189
Sn 5.770 1.084 2.507
Sn 6.471 5.003 5.855
Sn 9.689 0.383 5.855
Sn 10.390 4.302 2.507
```

Principal peaks in the range 2θ = 10–80°, low angle first:
- 7.618 Å, 2θ 11.6, I 38
- 5.387 Å, 2θ 16.5, I 45
- 3.407 Å, 2θ 26.2, I 100
- 3.197 Å, 2θ 27.9, I 63
- 2.749 Å, 2θ 32.6, I 31
- 2.729 Å, 2θ 32.8, I 27
- 2.449 Å, 2θ 36.7, I 64
- 2.229 Å, 2θ 40.5, I 43



For KSn2Te2, a DFT-relaxed cell (GGA-PBE, Alexandria) gives the computed powder diffraction line list in this record (Cu Kα X-rays).

```
10
Lattice="3.644 -7.333 0.000 3.644 7.333 0.000 -3.343 0.000 6.604" Properties=species:S:1:pos:R:3 pbc="T T T"
K 1.137 4.515 4.953
K 2.809 -4.515 1.651
Sn -1.612 1.062 6.394
Sn 0.060 -1.062 3.092
Sn 3.886 1.062 3.512
Sn 5.557 -1.062 0.210
Te 2.809 3.203 1.651
Te 1.137 1.062 4.953
Te 2.809 -1.062 1.651
Te 1.137 -3.203 4.953
```

Principal peaks in the range 2θ = 10–80°, low angle first:
- 5.755 Å, 2θ 15.4, I 46
- 3.206 Å, 2θ 27.8, I 57
- 3.128 Å, 2θ 28.5, I 85
- 3.023 Å, 2θ 29.6, I 100
- 2.583 Å, 2θ 34.7, I 28
- 2.189 Å, 2θ 41.2, I 40
- 2.159 Å, 2θ 41.8, I 40
- 1.925 Å, 2θ 47.2, I 36



For K2TmSnTe4, a DFT-relaxed cell (GGA-PBE, Alexandria) gives the computed powder diffraction line list in this record (Cu Kα X-rays).

```
8
Lattice="7.840 0.000 0.000 0.000 4.429 0.000 -2.521 0.000 8.271" Properties=species:S:1:pos:R:3 pbc="T T T"
K 0.000 0.000 0.000
K 3.920 2.215 0.000
Tm -1.260 2.215 4.135
Sn 2.660 0.000 4.135
Te 0.039 0.000 5.826
Te 1.295 2.215 2.443
Te 4.024 2.215 5.828
Te 5.281 0.000 2.445
```

Principal peaks in the range 2θ = 10–80°, low angle first:
- 8.271 Å, 2θ 10.7, I 70
- 3.297 Å, 2θ 27.0, I 50
- 3.283 Å, 2θ 27.2, I 100
- 2.616 Å, 2θ 34.3, I 31
- 2.410 Å, 2θ 37.3, I 33
- 2.251 Å, 2θ 40.1, I 38
- 2.215 Å, 2θ 40.7, I 18
- 1.838 Å, 2θ 49.6, I 19



For KUSn2Te4, a DFT-relaxed cell (GGA-PBE, Alexandria) gives the computed powder diffraction line list in this record (Cu Kα X-rays).

```
16
Lattice="6.498 0.000 0.000 0.000 6.498 0.000 0.000 0.000 13.064" Properties=species:S:1:pos:R:3 pbc="T T T"
K 0.000 0.000 0.000
K 3.249 3.249 6.532
U 0.000 3.249 9.798
U 3.249 0.000 3.266
Sn 0.000 0.000 6.532
Sn 0.000 3.249 3.266
Sn 3.249 0.000 9.798
Sn 3.249 3.249 0.000
Te 0.000 0.000 3.388
Te 0.000 0.000 9.677
Te 0.000 3.249 6.660
Te 0.000 3.249 12.936
Te 3.249 0.000 0.128
Te 3.249 0.000 6.404
Te 3.249 3.249 3.145
Te 3.249 3.249 9.920
```

Principal peaks in the range 2θ = 10–80°, low angle first:
- 5.818 Å, 2θ 15.2, I 18
- 3.266 Å, 2θ 27.3, I 49
- 3.249 Å, 2θ 27.5, I 100
- 2.303 Å, 2θ 39.1, I 76
- 2.297 Å, 2θ 39.2, I 39
- 1.879 Å, 2θ 48.4, I 41
- 1.454 Å, 2θ 64.1, I 36
- 1.328 Å, 2θ 71.0, I 27



For K3Tl5Sn2, a DFT-relaxed cell (GGA-PBE, Alexandria) gives the computed powder diffraction line list in this record (Cu Kα X-rays).

```
20
Lattice="12.230 0.000 0.000 0.000 12.230 0.000 0.000 0.000 4.758" Properties=species:S:1:pos:R:3 pbc="T T T"
K 0.000 0.000 0.000
K 2.030 4.085 0.000
K 4.085 10.201 0.000
K 6.115 6.115 0.000
K 8.145 2.030 0.000
K 10.201 8.145 0.000
Tl 0.000 6.115 2.379
Tl 0.907 9.658 2.379
Tl 2.572 0.907 2.379
Tl 3.543 7.022 2.379
Tl 5.208 3.543 2.379
Tl 6.115 0.000 2.379
Tl 7.022 8.687 2.379
Tl 8.687 5.208 2.379
Tl 9.658 11.323 2.379
Tl 11.323 2.572 2.379
Sn 1.612 7.727 0.000
Sn 4.504 1.612 0.000
Sn 7.727 10.619 0.000
Sn 10.619 4.504 0.000
```

Principal peaks in the range 2θ = 10–80°, low angle first:
- 5.470 Å, 2θ 16.2, I 59
- 4.758 Å, 2θ 18.6, I 37
- 3.001 Å, 2θ 29.8, I 100
- 2.966 Å, 2θ 30.1, I 36
- 2.762 Å, 2θ 32.4, I 64
- 2.517 Å, 2θ 35.7, I 37
- 2.379 Å, 2θ 37.8, I 30
- 1.399 Å, 2θ 66.9, I 29



For KTl6Sn2, a DFT-relaxed cell (GGA-PBE, Alexandria) gives the computed powder diffraction line list in this record (Cu Kα X-rays).

```
9
Lattice="5.224 0.000 0.000 0.000 5.224 0.000 0.000 0.000 10.988" Properties=species:S:1:pos:R:3 pbc="T T T"
K 0.000 0.000 0.000
Tl 0.000 0.000 5.494
Tl 0.000 2.612 3.217
Tl 0.000 2.612 7.772
Tl 2.612 0.000 3.217
Tl 2.612 0.000 7.772
Tl 2.612 2.612 5.494
Sn 2.612 2.612 1.449
Sn 2.612 2.612 9.540
```

Principal peaks in the range 2θ = 10–80°, low angle first:
- 3.065 Å, 2θ 29.1, I 100
- 2.612 Å, 2θ 34.3, I 59
- 2.601 Å, 2θ 34.5, I 67
- 1.847 Å, 2θ 49.3, I 21
- 1.682 Å, 2θ 54.6, I 24
- 1.582 Å, 2θ 58.3, I 29
- 1.506 Å, 2θ 61.6, I 26
- 1.414 Å, 2θ 66.1, I 14



For K3Tl2Sn7, a DFT-relaxed cell (GGA-PBE, Alexandria) gives the computed powder diffraction line list in this record (Cu Kα X-rays).

```
12
Lattice="3.358 1.939 10.042 -3.358 1.939 10.042 0.000 -3.878 10.042" Properties=species:S:1:pos:R:3 pbc="T T T"
K 0.000 0.000 0.000
K 0.000 0.000 4.185
K 0.000 0.000 25.941
Tl 0.000 0.000 10.257
Tl 0.000 0.000 19.869
Sn -1.773 -1.024 12.630
Sn 0.000 -2.048 17.496
Sn -1.773 1.024 17.496
Sn 0.000 0.000 15.063
Sn 1.773 -1.024 12.630
Sn 0.000 2.048 12.630
Sn 1.773 1.024 17.496
```

Principal peaks in the range 2θ = 10–80°, low angle first:
- 5.711 Å, 2θ 15.5, I 72
- 3.356 Å, 2θ 26.6, I 26
- 2.791 Å, 2θ 32.1, I 100
- 2.619 Å, 2θ 34.2, I 48
- 2.410 Å, 2θ 37.3, I 38
- 1.809 Å, 2θ 50.5, I 29
- 1.679 Å, 2θ 54.7, I 33
- 1.396 Å, 2θ 67.1, I 27



For KTl4Sn2, a DFT-relaxed cell (GGA-PBE, Alexandria) gives the computed powder diffraction line list in this record (Cu Kα X-rays).

```
14
Lattice="5.546 0.000 0.000 0.000 16.882 0.000 0.000 0.000 5.106" Properties=species:S:1:pos:R:3 pbc="T T T"
K 0.000 0.000 0.000
K 2.773 8.441 0.000
Tl 0.000 3.053 2.553
Tl 0.000 5.210 0.000
Tl 0.000 11.672 0.000
Tl 0.000 13.830 2.553
Tl 2.773 3.231 0.000
Tl 2.773 5.389 2.553
Tl 2.773 11.494 2.553
Tl 2.773 13.651 0.000
Sn 0.000 6.986 2.553
Sn 0.000 9.897 2.553
Sn 2.773 1.456 2.553
Sn 2.773 15.427 2.553
```

Principal peaks in the range 2θ = 10–80°, low angle first:
- 8.441 Å, 2θ 10.5, I 64
- 3.124 Å, 2θ 28.6, I 100
- 2.773 Å, 2θ 32.3, I 36
- 2.553 Å, 2θ 35.1, I 29
- 2.511 Å, 2θ 35.8, I 75
- 1.878 Å, 2θ 48.5, I 24
- 1.563 Å, 2θ 59.1, I 16
- 1.546 Å, 2θ 59.8, I 18



For K2TlSn5, a DFT-relaxed cell (GGA-PBE, Alexandria) gives the computed powder diffraction line list in this record (Cu Kα X-rays).

```
8
Lattice="0.000 4.800 6.282 4.570 0.000 6.282 4.570 4.800 0.000" Properties=species:S:1:pos:R:3 pbc="T T T"
K 2.285 2.400 0.000
K 2.285 2.400 6.282
Tl 4.570 4.800 1.279
Sn 4.570 4.800 4.809
Sn 4.570 2.619 9.402
Sn 6.586 4.800 9.446
Sn 2.553 4.800 9.446
Sn 4.570 6.982 9.402
```

Principal peaks in the range 2θ = 10–80°, low angle first:
- 6.282 Å, 2θ 14.1, I 39
- 5.857 Å, 2θ 15.1, I 23
- 3.539 Å, 2θ 25.2, I 48
- 2.930 Å, 2θ 30.5, I 100
- 2.400 Å, 2θ 37.5, I 23
- 2.285 Å, 2θ 39.4, I 19
- 2.278 Å, 2θ 39.6, I 50
- 2.173 Å, 2θ 41.6, I 18



For K5Tl4Sn2, a DFT-relaxed cell (GGA-PBE, Alexandria) gives the computed powder diffraction line list in this record (Cu Kα X-rays).

```
11
Lattice="12.747 -2.238 0.000 12.747 2.238 0.000 -1.244 0.000 7.966" Properties=species:S:1:pos:R:3 pbc="T T T"
K 0.000 0.000 0.000
K 7.669 0.000 4.050
K 9.533 0.000 0.557
K 14.717 0.000 7.409
K 16.581 0.000 3.916
Tl 5.007 0.000 6.850
Tl 11.048 0.000 5.403
Tl 13.203 0.000 2.563
Tl 19.244 0.000 1.116
Sn 0.648 0.000 4.798
Sn 23.603 0.000 3.168
```

Principal peaks in the range 2θ = 10–80°, low angle first:
- 7.257 Å, 2θ 12.2, I 56
- 6.301 Å, 2θ 14.1, I 100
- 3.096 Å, 2θ 28.8, I 37
- 2.978 Å, 2θ 30.0, I 74
- 2.913 Å, 2θ 30.7, I 94
- 2.520 Å, 2θ 35.6, I 34
- 2.195 Å, 2θ 41.1, I 24
- 2.110 Å, 2θ 42.9, I 22



For KTl4Sn, a DFT-relaxed cell (GGA-PBE, Alexandria) gives the computed powder diffraction line list in this record (Cu Kα X-rays).

```
6
Lattice="4.620 0.000 0.000 -2.300 5.520 0.000 -0.009 -2.464 7.644" Properties=species:S:1:pos:R:3 pbc="T T T"
K 0.000 0.000 0.000
Tl 0.000 2.049 4.990
Tl 0.008 3.256 1.684
Tl 2.303 -0.200 5.960
Tl 2.311 1.007 2.654
Sn -0.005 -1.232 3.822
```

Principal peaks in the range 2θ = 10–80°, low angle first:
- 7.644 Å, 2θ 11.6, I 30
- 4.229 Å, 2θ 21.0, I 19
- 3.028 Å, 2θ 29.5, I 100
- 2.791 Å, 2θ 32.1, I 93
- 2.719 Å, 2θ 32.9, I 33
- 2.563 Å, 2θ 35.0, I 35
- 2.311 Å, 2θ 39.0, I 45
- 1.760 Å, 2θ 51.9, I 19



For KY3Sn, a DFT-relaxed cell (GGA-PBE, Alexandria) gives the computed powder diffraction line list in this record (Cu Kα X-rays).

```
5
Lattice="5.923 0.000 0.000 0.000 5.923 0.000 0.000 0.000 5.923" Properties=species:S:1:pos:R:3 pbc="T T T"
K 0.000 0.000 0.000
Y 0.000 2.962 2.962
Y 2.962 0.000 2.962
Y 2.962 2.962 0.000
Sn 2.962 2.962 2.962
```

Principal peaks in the range 2θ = 10–80°, low angle first:
- 5.923 Å, 2θ 15.0, I 81
- 3.420 Å, 2θ 26.1, I 39
- 2.962 Å, 2θ 30.2, I 100
- 2.649 Å, 2θ 33.8, I 46
- 2.094 Å, 2θ 43.2, I 73
- 1.974 Å, 2θ 46.0, I 25
- 1.710 Å, 2θ 53.6, I 26
- 1.324 Å, 2θ 71.2, I 32



For KZn4Sn12, a DFT-relaxed cell (GGA-PBE, Alexandria) gives the computed powder diffraction line list in this record (Cu Kα X-rays).

```
17
Lattice="-4.868 4.868 4.868 4.868 -4.868 4.868 4.868 4.868 -4.868" Properties=species:S:1:pos:R:3 pbc="T T T"
K 0.000 0.000 0.000
Zn 2.434 2.434 -2.434
Zn 2.434 -2.434 2.434
Zn -2.434 2.434 2.434
Zn 2.434 2.434 2.434
Sn 3.406 1.538 0.000
Sn 6.330 1.538 0.000
Sn 4.868 -1.462 3.330
Sn 3.330 4.868 -1.462
Sn 1.538 0.000 3.406
Sn 4.868 1.462 3.330
Sn 0.000 3.406 1.538
Sn 3.330 4.868 1.462
Sn 1.538 0.000 6.330
Sn 0.000 6.330 1.538
Sn -1.462 3.330 4.868
Sn 1.462 3.330 4.868
```

Principal peaks in the range 2θ = 10–80°, low angle first:
- 3.079 Å, 2θ 29.0, I 100
- 2.602 Å, 2θ 34.5, I 30
- 2.177 Å, 2θ 41.5, I 25
- 2.076 Å, 2θ 43.6, I 11
- 1.987 Å, 2θ 45.6, I 18
- 1.909 Å, 2θ 47.6, I 33
- 1.436 Å, 2θ 65.0, I 18
- 1.278 Å, 2θ 74.2, I 12